The following is a calculated PXRD pattern of Na2Ag2Te3. It was derived from a PBE-relaxed structure, using a wavelength of 1.5418 Å.
Intensities are scaled so that the largest is 100.

Peak list (8 most intense, 5° ≤ 2θ ≤ 70°, in order of rising 2θ)
d/Å, intensity, index
7.627, 100, 0 0 1
2.943, 24, 1 1 -1
2.934, 24, 1 -2 1
2.844, 24, 1 1 1
2.478, 25, 1 1 -2
2.468, 24, 1 -2 2
2.366, 24, -1 2 2
2.315, 25, 2 -1 0

Crystal structure
```
data_Na2Ag2Te3
_symmetry_space_group_name_H-M 'P -1'
_symmetry_Int_Tables_number 2
_cell_length_a 4.630
_cell_length_b 6.763
_cell_length_c 7.643
_cell_angle_alpha 93.30
_cell_angle_beta 90.28
_cell_angle_gamma 109.94
loop_
_symmetry_equiv_pos_as_xyz
'x,y,z'
'-x,-y,-z'
loop_
_atom_site_label
_atom_site_fract_x
_atom_site_fract_y
_atom_site_fract_z
Na1 0.158 0.310 0.326
Ag1 0.339 0.676 0.022
Te1 0.000 0.000 0.000
Te2 0.177 0.359 0.736
```



The following is a calculated PXRD pattern of Na4SnPb. It was derived from a PBE-relaxed structure, using a wavelength of 1.5418 Å.
Intensities are scaled so that the largest is 100.

Peak list (8 most intense, 5° ≤ 2θ ≤ 70°, in order of rising 2θ)
d/Å, intensity, index
4.645, 100, 0 2 1
2.708, 98, 2 4 0
2.682, 61, 0 0 2
2.324, 12, 0 4 2
2.090, 18, 2 0 2
1.906, 36, 2 4 2
1.554, 25, 2 2 3
1.551, 20, 0 6 3

Crystal structure
```
data_Na4SnPb
_symmetry_space_group_name_H-M 'C m c m'
_symmetry_Int_Tables_number 63
_symmetry_space_group_name_Hall '-C 2c 2'
_cell_length_a 6.667
_cell_length_b 18.548
_cell_length_c 5.373
_cell_angle_alpha 90.00
_cell_angle_beta 90.00
_cell_angle_gamma 90.00
loop_
_atom_site_label
_atom_site_fract_x
_atom_site_fract_y
_atom_site_fract_z
Na1 0.245 0.041 0.250
Na2 0.248 0.208 0.250
Sn1 0.000 0.126 0.750
Pb1 0.000 0.377 0.250
```



The following is a calculated PXRD pattern of Pa3Ni. It was derived from a PBE-relaxed structure, using a wavelength of 1.5418 Å.
Intensities are scaled so that the largest is 100.

Peak list (8 most intense, 5° ≤ 2θ ≤ 70°, in order of rising 2θ)
d/Å, intensity, index
2.774, 100, 0 2 3
2.638, 88, 1 1 2
2.456, 44, 1 3 0
2.401, 40, 0 4 2
2.380, 46, 1 3 1
1.644, 30, 2 0 0
1.594, 29, 1 5 3
1.415, 27, 2 2 3

Crystal structure
```
data_Pa3Ni
_symmetry_space_group_name_H-M 'C m c m'
_symmetry_Int_Tables_number 63
_symmetry_space_group_name_Hall '-C 2c 2'
_cell_length_a 3.290
_cell_length_b 11.074
_cell_length_c 9.623
_cell_angle_alpha 90.00
_cell_angle_beta 90.00
_cell_angle_gamma 90.00
loop_
_atom_site_label
_atom_site_fract_x
_atom_site_fract_y
_atom_site_fract_z
Pa1 0.000 0.059 0.250
Pa2 0.000 0.365 0.060
Ni1 0.000 0.246 0.750
```



The following is a calculated PXRD pattern of TiPd3. It was derived from a PBE-relaxed structure, using a wavelength of 1.5418 Å.
Intensities are scaled so that the largest is 100.

Peak list (7 most intense, 5° ≤ 2θ ≤ 70°, in order of rising 2θ)
d/Å, intensity, index
3.927, 9, 1 0 0
2.777, 7, 1 1 0
2.267, 100, 1 1 1
1.963, 48, 2 0 0
1.756, 4, 2 1 0
1.603, 3, 2 1 1
1.388, 30, 2 2 0

Crystal structure
```
data_TiPd3
_symmetry_space_group_name_H-M 'P m -3 m'
_symmetry_Int_Tables_number 221
_symmetry_space_group_name_Hall '-P 4 2 3'
_cell_length_a 3.927
_cell_length_b 3.927
_cell_length_c 3.927
_cell_angle_alpha 90.00
_cell_angle_beta 90.00
_cell_angle_gamma 90.00
loop_
_atom_site_label
_atom_site_fract_x
_atom_site_fract_y
_atom_site_fract_z
Ti1 0.000 0.000 0.000
Pd1 0.000 0.500 0.500
```



The following is a calculated PXRD pattern of ScMn4. It was derived from a PBE-relaxed structure, using a wavelength of 1.5418 Å.
Intensities are scaled so that the largest is 100.

Peak list (8 most intense, 5° ≤ 2θ ≤ 70°, in order of rising 2θ)
d/Å, intensity, index
4.600, 24, 0 0 2
2.401, 60, 1 0 3
2.347, 100, 1 1 2
1.929, 74, 2 0 0
1.759, 48, 1 1 4
1.661, 21, 1 0 5
1.504, 24, 2 1 3
1.364, 21, 2 2 0

Crystal structure
```
data_ScMn4
_symmetry_space_group_name_H-M 'I 4/m m m'
_symmetry_Int_Tables_number 139
_symmetry_space_group_name_Hall '-I 4 2'
_cell_length_a 3.858
_cell_length_b 3.858
_cell_length_c 9.201
_cell_angle_alpha 90.00
_cell_angle_beta 90.00
_cell_angle_gamma 90.00
loop_
_atom_site_label
_atom_site_fract_x
_atom_site_fract_y
_atom_site_fract_z
Sc1 0.000 0.000 0.000
Mn1 0.000 0.000 0.378
Mn2 0.000 0.500 0.250
```



The following is a calculated PXRD pattern of Ba3YI9. It was derived from a PBE-relaxed structure, using a wavelength of 1.5418 Å.
Intensities are scaled so that the largest is 100.

Peak list (8 most intense, 5° ≤ 2θ ≤ 70°, in order of rising 2θ)
d/Å, intensity, index
3.715, 47, 1 2 2
3.593, 47, 2 2 0
3.538, 49, 1 1 5
3.155, 94, 4 0 3
3.094, 42, 3 2 1
2.992, 40, 3 2 2
2.847, 100, 1 2 5
2.080, 38, 0 4 0

Crystal structure
```
data_Ba3YI9
_symmetry_space_group_name_H-M 'P n m a'
_symmetry_Int_Tables_number 62
_cell_length_a 14.258
_cell_length_b 8.320
_cell_length_c 20.339
_cell_angle_alpha 90.00
_cell_angle_beta 90.00
_cell_angle_gamma 90.00
loop_
_symmetry_equiv_pos_as_xyz
'x,y,z'
'-x,-y,-z'
'-x+1/2,-y,z+1/2'
'x+1/2,y,-z+1/2'
'x+1/2,-y+1/2,-z+1/2'
'-x+1/2,y+1/2,z+1/2'
'-x,y+1/2,-z'
'x,-y+1/2,z'
loop_
_atom_site_label
_atom_site_fract_x
_atom_site_fract_y
_atom_site_fract_z
Ba1 0.061 0.250 0.101
Ba2 0.171 0.250 0.533
Ba3 0.242 0.250 0.842
Y1 0.010 0.750 0.681
I1 0.058 0.005 0.780
I2 0.066 0.514 0.412
I3 0.141 0.506 0.970
I4 0.177 0.750 0.589
I5 0.181 0.250 0.259
I6 0.208 0.750 0.175
```



The following is a calculated PXRD pattern of MnCr7. It was derived from a PBE-relaxed structure, using a wavelength of 1.5418 Å.
Intensities are scaled so that the largest is 100.

Peak list (2 most intense, 5° ≤ 2θ ≤ 70°, in order of rising 2θ)
d/Å, intensity, index
2.009, 100, 2 2 0
1.420, 14, 4 0 4

Crystal structure
```
data_MnCr7
_symmetry_space_group_name_H-M 'R -3 m'
_symmetry_Int_Tables_number 166
_symmetry_space_group_name_Hall '-R 3 2"'
_cell_length_a 8.0314
_cell_length_b 8.0314
_cell_length_c 9.8487
_cell_angle_alpha 90.00
_cell_angle_beta 90.00
_cell_angle_gamma 120.00
loop_
_atom_site_label
_atom_site_fract_x
_atom_site_fract_y
_atom_site_fract_z
Mn1 0.0000 0.0000 0.1275
Cr1 0.0000 0.0000 0.3738
Cr2 0.0011 0.5005 0.1254
Cr3 0.0010 0.5005 0.6256
```



The following is a calculated PXRD pattern of Nd3OsC3. It was derived from a PBE-relaxed structure, using a wavelength of 1.5418 Å.
Intensities are scaled so that the largest is 100.

Peak list (8 most intense, 5° ≤ 2θ ≤ 70°, in order of rising 2θ)
d/Å, intensity, index
2.895, 100, 2 2 1
2.839, 30, 1 3 1
2.708, 15, 0 4 0
2.682, 37, 0 0 2
1.750, 15, 3 5 0
1.712, 17, 4 0 2
1.587, 17, 2 2 3
1.466, 19, 3 5 2

Crystal structure
```
data_Nd3OsC3
_symmetry_space_group_name_H-M 'C m c m'
_symmetry_Int_Tables_number 63
_symmetry_space_group_name_Hall '-C 2c 2'
_cell_length_a 8.902
_cell_length_b 10.834
_cell_length_c 5.365
_cell_angle_alpha 90.00
_cell_angle_beta 90.00
_cell_angle_gamma 90.00
loop_
_atom_site_label
_atom_site_fract_x
_atom_site_fract_y
_atom_site_fract_z
Nd1 0.000 0.107 0.250
Nd2 0.210 0.379 0.250
Os1 0.000 0.303 0.750
C1 0.000 0.123 0.750
C2 0.199 0.371 0.750
```



The following is a calculated PXRD pattern of Dy2AlAu8. It was derived from a PBE-relaxed structure, using a wavelength of 1.5418 Å.
Intensities are scaled so that the largest is 100.

Peak list (8 most intense, 5° ≤ 2θ ≤ 70°, in order of rising 2θ)
d/Å, intensity, index
2.975, 31, 0 2 2
2.501, 46, 2 0 0
2.344, 100, 1 2 3
2.323, 50, 1 0 5
1.915, 18, 2 2 2
1.472, 14, 0 2 8
1.412, 20, 3 2 3
1.355, 13, 1 4 5

Crystal structure
```
data_Dy2AlAu8
_symmetry_space_group_name_H-M 'I m m m'
_symmetry_Int_Tables_number 71
_symmetry_space_group_name_Hall '-I 2 2'
_cell_length_a 5.003
_cell_length_b 6.675
_cell_length_c 13.118
_cell_angle_alpha 90.00
_cell_angle_beta 90.00
_cell_angle_gamma 90.00
loop_
_atom_site_label
_atom_site_fract_x
_atom_site_fract_y
_atom_site_fract_z
Dy1 0.000 0.000 0.200
Al1 0.000 0.000 0.500
Au1 0.000 0.244 0.000
Au2 0.000 0.288 0.377
Au3 0.000 0.500 0.178
```



The following is a calculated PXRD pattern of TlSiTe3. It was derived from a PBE-relaxed structure, using a wavelength of 1.5418 Å.
Intensities are scaled so that the largest is 100.

Peak list (8 most intense, 5° ≤ 2θ ≤ 70°, in order of rising 2θ)
d/Å, intensity, index
3.555, 67, 1 0 2
3.169, 100, 2 1 -4
3.143, 30, 0 2 0
3.093, 37, 1 1 2
3.071, 50, 3 0 -2
2.889, 33, 1 2 -2
2.759, 27, 3 1 -2
2.103, 27, 1 1 -6

Crystal structure
```
data_TlSiTe3
_symmetry_space_group_name_H-M 'P 1 21/c 1'
_symmetry_Int_Tables_number 14
_cell_length_a 9.559
_cell_length_b 6.285
_cell_length_c 14.923
_cell_angle_alpha 90.00
_cell_angle_beta 129.72
_cell_angle_gamma 90.00
loop_
_symmetry_equiv_pos_as_xyz
'x,y,z'
'-x,-y,-z'
'-x,y+1/2,-z+1/2'
'x,-y+1/2,z+1/2'
loop_
_atom_site_label
_atom_site_fract_x
_atom_site_fract_y
_atom_site_fract_z
Tl1 0.234 0.229 0.311
Si1 0.199 0.600 0.041
Te1 0.059 0.226 0.973
Te2 0.277 0.745 0.425
Te3 0.481 0.579 0.259
```